Computed X-ray diffraction stick pattern of Ba5Sr2Ca2 for Cu Kα (weighted mean of Kα1 and Kα2), from a structure optimized by DFT (PBE).
Intensities are scaled so that the largest is 1000.

Largest 10 diffraction maxima, low angle first, 5 to 70 degrees two-theta:
Position (°2θ), Rel. int.
15.04, 37
16.64, 41
26.22, 1000
37.42, 193
46.24, 281
46.32, 134
53.93, 108
60.87, 60
60.97, 91
67.47, 33

Cell lengths 6.803, 6.803, 12.473 Å; angles 90.13, 90.13, 59.97 degrees
Atoms (fractional coordinates):
Ba: 0.000 0.000 0.000
Ba: 0.001 0.001 0.341
Ba: 0.332 0.332 0.768
Ba: 0.668 0.668 0.232
Ba: 0.999 0.999 0.659
Sr: 0.334 0.334 0.117
Sr: 0.666 0.666 0.883
Ca: 0.334 0.334 0.446
Ca: 0.666 0.666 0.554

***

Computed X-ray diffraction stick pattern of Ba4Sr6Ca for Cu Kα (weighted mean of Kα1 and Kα2), from a structure optimized by DFT (PBE).
Intensities are scaled so that the largest is 1000.

Largest 10 diffraction maxima, low angle first, 5 to 70 degrees two-theta:
Position (°2θ), Rel. int.
5.71, 81
25.12, 549
26.06, 1000
27.53, 427
36.51, 205
38.27, 176
45.38, 137
45.93, 141
46.86, 138
53.66, 88

Cell lengths 6.832, 6.832, 30.971 Å; angles 90.00, 90.00, 119.81 degrees
Atoms (fractional coordinates):
Ba: 0.002 0.998 0.628
Ba: 0.002 0.998 0.872
Ba: 0.334 0.666 0.543
Ba: 0.334 0.666 0.957
Ba: 0.666 0.334 0.043
Ba: 0.666 0.334 0.457
Ba: 0.998 0.002 0.128
Ba: 0.998 0.002 0.372
Sr: 0.000 0.000 0.000
Sr: 0.000 0.000 0.500
Sr: 0.005 0.995 0.750
Sr: 0.332 0.668 0.102
Sr: 0.332 0.668 0.398
Sr: 0.337 0.663 0.684
Sr: 0.337 0.663 0.816
Sr: 0.663 0.337 0.184
Sr: 0.663 0.337 0.316
Sr: 0.668 0.332 0.602
Sr: 0.668 0.332 0.898
Sr: 0.995 0.005 0.250
Ca: 0.329 0.671 0.250
Ca: 0.671 0.329 0.750

***

Computed X-ray diffraction stick pattern of BaSr4Ca8 for Cu Kα (weighted mean of Kα1 and Kα2), from a structure optimized by DFT (PBE).
Intensities are scaled so that the largest is 1000.

Largest 10 diffraction maxima, low angle first, 5 to 70 degrees two-theta:
Position (°2θ), Rel. int.
26.91, 1000
31.10, 339
31.31, 168
44.57, 178
44.76, 178
52.70, 69
52.85, 139
52.90, 71
53.03, 71
53.17, 69

Cell lengths 7.002, 7.002, 16.787 Å; angles 93.79, 93.79, 48.43 degrees
Atoms (fractional coordinates):
Ba: 0.000 0.000 0.000
Sr: 0.155 0.155 0.540
Sr: 0.378 0.378 0.840
Sr: 0.623 0.623 0.160
Sr: 0.847 0.847 0.460
Ca: 0.073 0.073 0.763
Ca: 0.234 0.234 0.308
Ca: 0.310 0.310 0.083
Ca: 0.464 0.464 0.616
Ca: 0.538 0.538 0.384
Ca: 0.690 0.690 0.917
Ca: 0.767 0.767 0.692
Ca: 0.928 0.928 0.237

***

Computed X-ray diffraction stick pattern of Ba6SrCa2 for Cu Kα (weighted mean of Kα1 and Kα2), from a structure optimized by DFT (PBE).
Intensities are scaled so that the largest is 1000.

Largest 10 diffraction maxima, low angle first, 5 to 70 degrees two-theta:
Position (°2θ), Rel. int.
19.49, 138
25.69, 1000
26.38, 483
35.63, 158
37.66, 184
44.87, 234
46.14, 442
52.80, 124
61.01, 125
61.36, 93

Cell lengths 12.645, 10.683, 8.281 Å; angles 82.59, 56.91, 40.50 degrees
Atoms (fractional coordinates):
Ba: 0.012 0.326 0.674
Ba: 0.326 0.012 0.988
Ba: 0.339 0.661 0.339
Ba: 0.661 0.339 0.661
Ba: 0.674 0.988 0.012
Ba: 0.988 0.674 0.326
Sr: 0.000 0.000 0.000
Ca: 0.335 0.335 0.665
Ca: 0.665 0.665 0.335